Theoretical powder diffractogram
Compound: Rb4Pm3VO8
Radiation: Cu Kα, 1.54184 Å
Structure: a crystal structure in Alexandria, relaxed with PBE+U
No peak broadening, texture or thermal motion is included.

Top 12 peaks for 2θ from 15° to 90°, by angle:
Position (°2θ), intensity
27.2, 61
30.4, 40
30.7, 78
34.3, 53
34.6, 100
47.4, 53
51.6, 32
52.1, 15
55.6, 20
59.3, 14
63.9, 16
74.3, 14

Structural model:
Lattice parameters (Å, degrees): 7.0897 7.0897 7.7279 117.36 117.36 59.37
Fractional coordinates of all 16 atoms:
Rb1 0.0000 0.0000 0.0000
Rb2 0.0000 0.5000 0.0000
Rb3 0.5000 0.0000 0.0000
Rb4 0.5000 0.5000 0.0000
Pm1 0.0000 0.0000 0.5000
Pm2 0.0000 0.5000 0.5000
Pm3 0.5000 0.0000 0.5000
V1 0.5000 0.5000 0.5000
O1 0.2259 0.2259 0.6820
O2 0.2540 0.7070 0.6692
O3 0.2730 0.2730 0.3151
O4 0.2930 0.7460 0.3308
O5 0.7070 0.2540 0.6692
O6 0.7270 0.7270 0.6849
O7 0.7460 0.2930 0.3308
O8 0.7741 0.7741 0.3180